No. 1
Diffraction record for AcAg. The X-ray powder pattern is theoretical, not measured: it uses a DFT-relaxed cell (GGA-PBE, the Materials Project) and Cu Kα (λ = 1.5418 Å).

Peak list (6 most intense, 2θ from 10° to 90°, in order of rising 2θ)
2theta, d_spacing, intensity, hkl
22.4, 3.974, 11.9, 1 0 0
31.8, 2.810, 100.0, 1 1 0
45.7, 1.987, 18.5, 2 0 0
56.7, 1.622, 38.8, 2 1 1
66.6, 1.405, 12.0, 2 2 0
75.7, 1.257, 16.7, 3 1 0

Atomic structure:
```
2
Lattice="3.9742 0.0000 0.0000 0.0000 3.9742 0.0000 0.0000 0.0000 3.9742" Properties=species:S:1:pos:R:3 pbc="T T T"
Ac 0.0000 0.0000 0.0000
Ag 1.9871 1.9871 1.9871
```

No. 2
Diffraction record for AcAg3. The X-ray powder pattern is theoretical, not measured: it uses a DFT-relaxed cell (GGA-PBE, the Materials Project) and Cu Kα (λ = 1.5418 Å).

Peak list (6 most intense, 2θ from 10° to 90°, in order of rising 2θ)
2theta, d_spacing, intensity, hkl
23.5, 3.789, 21.1, 1 0 1
29.5, 3.023, 25.1, 2 0 0
34.9, 2.568, 100.0, 2 0 1
37.0, 2.432, 21.6, 0 0 2
52.4, 1.745, 15.6, 2 2 0
65.3, 1.429, 15.7, 2 0 3

Atomic structure:
```
8
Lattice="6.9819 0.0000 0.0000 -3.4909 6.0465 0.0000 0.0000 0.0000 4.8631" Properties=species:S:1:pos:R:3 pbc="T T T"
Ac 0.0000 4.0310 1.2158
Ac 3.4909 2.0155 3.6473
Ag 0.0000 1.6954 3.6473
Ag -2.0226 5.1988 3.6473
Ag 1.4683 0.8477 1.2158
Ag 2.0226 5.1988 3.6473
Ag 5.5136 0.8477 1.2158
Ag 3.4909 4.3510 1.2158
```

No. 3
Diffraction record for AcCdAg2. The X-ray powder pattern is theoretical, not measured: it uses a DFT-relaxed cell (GGA-PBE, the Materials Project) and Cu Kα (λ = 1.5418 Å).

Peak list (6 most intense, 2θ from 10° to 90°, in order of rising 2θ)
2theta, d_spacing, intensity, hkl
20.6, 4.308, 7.7, 1 1 1
34.0, 2.638, 100.0, 2 2 0
48.8, 1.865, 17.8, 4 0 0
60.8, 1.523, 36.2, 4 2 2
71.5, 1.319, 11.1, 4 4 0
81.6, 1.180, 15.7, 6 2 0

Atomic structure:
```
16
Lattice="7.4613 0.0000 0.0000 0.0000 7.4613 0.0000 0.0000 0.0000 7.4613" Properties=species:S:1:pos:R:3 pbc="T T T"
Ac 0.0000 0.0000 0.0000
Ac 0.0000 3.7306 3.7306
Ac 3.7306 0.0000 3.7306
Ac 3.7306 3.7306 0.0000
Cd 0.0000 0.0000 3.7306
Cd 0.0000 3.7306 0.0000
Cd 3.7306 0.0000 0.0000
Cd 3.7306 3.7306 3.7306
Ag 1.8653 1.8653 1.8653
Ag 1.8653 1.8653 5.5960
Ag 1.8653 5.5960 1.8653
Ag 1.8653 5.5960 5.5960
Ag 5.5960 1.8653 1.8653
Ag 5.5960 1.8653 5.5960
Ag 5.5960 5.5960 1.8653
Ag 5.5960 5.5960 5.5960
```

No. 4
Diffraction record for Ac2AgIr. The X-ray powder pattern is theoretical, not measured: it uses a DFT-relaxed cell (GGA-PBE, the Materials Project) and Cu Kα (λ = 1.5418 Å).

Peak list (6 most intense, 2θ from 10° to 90°, in order of rising 2θ)
2theta, d_spacing, intensity, hkl
33.2, 2.702, 100.0, 2 2 0
47.6, 1.911, 18.4, 4 0 0
59.2, 1.560, 38.6, 4 2 2
69.6, 1.351, 12.0, 4 4 0
79.3, 1.208, 16.8, 6 2 0
88.7, 1.103, 4.4, 4 4 4

Atomic structure:
```
16
Lattice="7.6430 0.0000 0.0000 0.0000 7.6430 0.0000 0.0000 0.0000 7.6430" Properties=species:S:1:pos:R:3 pbc="T T T"
Ac 1.9107 1.9107 1.9107
Ac 1.9107 1.9107 5.7322
Ac 1.9107 5.7322 1.9107
Ac 1.9107 5.7322 5.7322
Ac 5.7322 1.9107 1.9107
Ac 5.7322 1.9107 5.7322
Ac 5.7322 5.7322 1.9107
Ac 5.7322 5.7322 5.7322
Ag 0.0000 0.0000 0.0000
Ag 0.0000 3.8215 3.8215
Ag 3.8215 0.0000 3.8215
Ag 3.8215 3.8215 0.0000
Ir 0.0000 0.0000 3.8215
Ir 0.0000 3.8215 0.0000
Ir 3.8215 0.0000 0.0000
Ir 3.8215 3.8215 3.8215
```

No. 5
Diffraction record for AcAg2Pb. The X-ray powder pattern is theoretical, not measured: it uses a DFT-relaxed cell (GGA-PBE, the Materials Project) and Cu Kα (λ = 1.5418 Å).

Peak list (6 most intense, 2θ from 10° to 90°, in order of rising 2θ)
2theta, d_spacing, intensity, hkl
23.6, 3.774, 10.9, 2 0 0
33.6, 2.668, 100.0, 2 2 0
48.2, 1.887, 18.1, 4 0 0
60.1, 1.541, 37.5, 4 2 2
70.6, 1.334, 11.6, 4 4 0
80.5, 1.193, 16.5, 6 2 0

Atomic structure:
```
16
Lattice="7.5470 0.0000 0.0000 0.0000 7.5470 0.0000 0.0000 0.0000 7.5470" Properties=species:S:1:pos:R:3 pbc="T T T"
Ac 0.0000 0.0000 0.0000
Ac 0.0000 3.7735 3.7735
Ac 3.7735 0.0000 3.7735
Ac 3.7735 3.7735 0.0000
Ag 1.8868 1.8868 1.8868
Ag 1.8868 1.8868 5.6603
Ag 1.8868 5.6603 1.8868
Ag 1.8868 5.6603 5.6603
Ag 5.6603 1.8868 1.8868
Ag 5.6603 1.8868 5.6603
Ag 5.6603 5.6603 1.8868
Ag 5.6603 5.6603 5.6603
Pb 0.0000 0.0000 3.7735
Pb 0.0000 3.7735 0.0000
Pb 3.7735 0.0000 0.0000
Pb 3.7735 3.7735 3.7735
```

No. 6
Diffraction record for AcAgTe2. The X-ray powder pattern is theoretical, not measured: it uses a DFT-relaxed cell (GGA-PBE, the Materials Project) and Cu Kα (λ = 1.5418 Å).

Peak list (6 most intense, 2θ from 10° to 90°, in order of rising 2θ)
2theta, d_spacing, intensity, hkl
19.5, 4.547, 7.3, 1 1 1
32.1, 2.785, 100.0, 2 2 0
46.1, 1.969, 18.4, 4 0 0
57.3, 1.608, 38.3, 4 2 2
67.2, 1.392, 11.8, 4 4 0
76.5, 1.245, 16.3, 6 2 0

Atomic structure:
```
16
Lattice="7.8762 0.0000 0.0000 0.0000 7.8762 0.0000 0.0000 0.0000 7.8762" Properties=species:S:1:pos:R:3 pbc="T T T"
Ac 0.0000 0.0000 0.0000
Ac 0.0000 3.9381 3.9381
Ac 3.9381 0.0000 3.9381
Ac 3.9381 3.9381 0.0000
Ag 0.0000 0.0000 3.9381
Ag 0.0000 3.9381 0.0000
Ag 3.9381 0.0000 0.0000
Ag 3.9381 3.9381 3.9381
Te 1.9691 1.9691 1.9691
Te 1.9691 1.9691 5.9072
Te 1.9691 5.9072 1.9691
Te 1.9691 5.9072 5.9072
Te 5.9072 1.9691 1.9691
Te 5.9072 1.9691 5.9072
Te 5.9072 5.9072 1.9691
Te 5.9072 5.9072 5.9072
```

No. 7
Diffraction record for AcAl3. The X-ray powder pattern is theoretical, not measured: it uses a DFT-relaxed cell (GGA-PBE, the Materials Project) and Cu Kα (λ = 1.5418 Å).

Peak list (6 most intense, 2θ from 10° to 90°, in order of rising 2θ)
2theta, d_spacing, intensity, hkl
14.7, 6.023, 25.9, 1 0 0
24.2, 3.684, 100.0, 1 0 1
25.6, 3.478, 57.4, 1 1 0
35.5, 2.529, 74.9, 2 0 1
44.3, 2.045, 31.1, 2 1 1
58.7, 1.572, 24.9, 3 1 1

Atomic structure:
```
8
Lattice="6.9552 0.0000 0.0000 -3.4776 6.0234 0.0000 0.0000 0.0000 4.6556" Properties=species:S:1:pos:R:3 pbc="T T T"
Ac 0.0000 4.0156 1.1639
Ac 3.4776 2.0078 3.4917
Al 0.0000 1.5905 3.4917
Al -2.1002 5.2282 3.4917
Al 1.3774 0.7952 1.1639
Al 2.1002 5.2282 3.4917
Al 5.5778 0.7952 1.1639
Al 3.4776 4.4329 1.1639
```

No. 8
Diffraction record for AcAlO3. The X-ray powder pattern is theoretical, not measured: it uses a DFT-relaxed cell (GGA-PBE, the Materials Project) and Cu Kα (λ = 1.5418 Å).

Peak list (6 most intense, 2θ from 10° to 90°, in order of rising 2θ)
2theta, d_spacing, intensity, hkl
22.9, 3.886, 68.0, 1 0 0
32.6, 2.748, 100.0, 1 1 0
40.2, 2.243, 41.8, 1 1 1
46.8, 1.943, 30.0, 2 0 0
52.7, 1.738, 32.6, 2 1 0
58.2, 1.586, 40.8, 2 1 1

Atomic structure:
```
5
Lattice="3.8857 0.0000 0.0000 0.0000 3.8857 0.0000 0.0000 0.0000 3.8857" Properties=species:S:1:pos:R:3 pbc="T T T"
Ac 0.0000 0.0000 0.0000
Al 1.9429 1.9429 1.9429
O 0.0000 1.9429 1.9429
O 1.9429 0.0000 1.9429
O 1.9429 1.9429 0.0000
```

No. 9
Diffraction record for CaAcAu2. The X-ray powder pattern is theoretical, not measured: it uses a DFT-relaxed cell (GGA-PBE, the Materials Project) and Cu Kα (λ = 1.5418 Å).

Peak list (6 most intense, 2θ from 10° to 90°, in order of rising 2θ)
2theta, d_spacing, intensity, hkl
20.3, 4.381, 16.1, 1 1 1
33.4, 2.683, 100.0, 2 2 0
48.0, 1.897, 18.4, 4 0 0
59.7, 1.549, 38.4, 4 2 2
70.2, 1.341, 12.0, 4 4 0
80.0, 1.200, 16.9, 6 2 0

Atomic structure:
```
16
Lattice="7.5883 0.0000 0.0000 0.0000 7.5883 0.0000 0.0000 0.0000 7.5883" Properties=species:S:1:pos:R:3 pbc="T T T"
Ca 0.0000 0.0000 0.0000
Ca 0.0000 3.7941 3.7941
Ca 3.7941 0.0000 3.7941
Ca 3.7941 3.7941 0.0000
Ac 0.0000 0.0000 3.7941
Ac 0.0000 3.7941 0.0000
Ac 3.7941 0.0000 0.0000
Ac 3.7941 3.7941 3.7941
Au 1.8971 1.8971 1.8971
Au 1.8971 1.8971 5.6912
Au 1.8971 5.6912 1.8971
Au 1.8971 5.6912 5.6912
Au 5.6912 1.8971 1.8971
Au 5.6912 1.8971 5.6912
Au 5.6912 5.6912 1.8971
Au 5.6912 5.6912 5.6912
```

No. 10
Diffraction record for AcHgAu2. The X-ray powder pattern is theoretical, not measured: it uses a DFT-relaxed cell (GGA-PBE, the Materials Project) and Cu Kα (λ = 1.5418 Å).

Peak list (5 most intense, 2θ from 10° to 90°, in order of rising 2θ)
2theta, d_spacing, intensity, hkl
34.1, 2.631, 100.0, 2 2 0
49.0, 1.860, 18.4, 4 0 0
61.0, 1.519, 38.4, 4 2 2
71.8, 1.315, 12.0, 4 4 0
81.9, 1.176, 17.3, 6 2 0

Atomic structure:
```
16
Lattice="7.4406 0.0000 0.0000 0.0000 7.4406 0.0000 0.0000 0.0000 7.4406" Properties=species:S:1:pos:R:3 pbc="T T T"
Ac 0.0000 0.0000 0.0000
Ac 0.0000 3.7203 3.7203
Ac 3.7203 0.0000 3.7203
Ac 3.7203 3.7203 0.0000
Hg 0.0000 0.0000 3.7203
Hg 0.0000 3.7203 0.0000
Hg 3.7203 0.0000 0.0000
Hg 3.7203 3.7203 3.7203
Au 1.8602 1.8602 1.8602
Au 1.8602 1.8602 5.5805
Au 1.8602 5.5805 1.8602
Au 1.8602 5.5805 5.5805
Au 5.5805 1.8602 1.8602
Au 5.5805 1.8602 5.5805
Au 5.5805 5.5805 1.8602
Au 5.5805 5.5805 5.5805
```

No. 11
Diffraction record for AcInAu2. The X-ray powder pattern is theoretical, not measured: it uses a DFT-relaxed cell (GGA-PBE, the Materials Project) and Cu Kα (λ = 1.5418 Å).

Peak list (6 most intense, 2θ from 10° to 90°, in order of rising 2θ)
2theta, d_spacing, intensity, hkl
20.6, 4.304, 4.3, 1 1 1
34.0, 2.635, 100.0, 2 2 0
48.9, 1.863, 18.3, 4 0 0
60.9, 1.522, 38.0, 4 2 2
71.6, 1.318, 11.8, 4 4 0
81.7, 1.179, 16.9, 6 2 0

Atomic structure:
```
16
Lattice="7.4539 0.0000 0.0000 0.0000 7.4539 0.0000 0.0000 0.0000 7.4539" Properties=species:S:1:pos:R:3 pbc="T T T"
Ac 0.0000 0.0000 0.0000
Ac 0.0000 3.7270 3.7270
Ac 3.7270 0.0000 3.7270
Ac 3.7270 3.7270 0.0000
In 0.0000 0.0000 3.7270
In 0.0000 3.7270 0.0000
In 3.7270 0.0000 0.0000
In 3.7270 3.7270 3.7270
Au 1.8635 1.8635 1.8635
Au 1.8635 1.8635 5.5905
Au 1.8635 5.5905 1.8635
Au 1.8635 5.5905 5.5905
Au 5.5905 1.8635 1.8635
Au 5.5905 1.8635 5.5905
Au 5.5905 5.5905 1.8635
Au 5.5905 5.5905 5.5905
```

No. 12
Diffraction record for Ac2IrAu. The X-ray powder pattern is theoretical, not measured: it uses a DFT-relaxed cell (GGA-PBE, the Materials Project) and Cu Kα (λ = 1.5418 Å).

Peak list (6 most intense, 2θ from 10° to 90°, in order of rising 2θ)
2theta, d_spacing, intensity, hkl
33.3, 2.693, 100.0, 2 2 0
47.8, 1.904, 18.6, 4 0 0
59.5, 1.555, 39.1, 4 2 2
69.9, 1.346, 12.2, 4 4 0
79.6, 1.204, 17.2, 6 2 0
89.1, 1.099, 4.5, 4 4 4

Atomic structure:
```
16
Lattice="7.6162 0.0000 0.0000 0.0000 7.6162 0.0000 0.0000 0.0000 7.6162" Properties=species:S:1:pos:R:3 pbc="T T T"
Ac 1.9041 1.9041 1.9041
Ac 1.9041 1.9041 5.7122
Ac 1.9041 5.7122 1.9041
Ac 1.9041 5.7122 5.7122
Ac 5.7122 1.9041 1.9041
Ac 5.7122 1.9041 5.7122
Ac 5.7122 5.7122 1.9041
Ac 5.7122 5.7122 5.7122
Ir 0.0000 0.0000 0.0000
Ir 0.0000 3.8081 3.8081
Ir 3.8081 0.0000 3.8081
Ir 3.8081 3.8081 0.0000
Au 0.0000 0.0000 3.8081
Au 0.0000 3.8081 0.0000
Au 3.8081 0.0000 0.0000
Au 3.8081 3.8081 3.8081
```